The following is a calculated powder diffractogram of V3CoP4O16. It was derived from a GGA+U-relaxed structure, using Cu Kα.
No peak broadening, texture or thermal motion is included.

Principal peaks in the range 15 to 90 degrees two-theta, sorted by position:
- 2θ = 17.7°, rel. 91
- 2θ = 20.1°, rel. 78
- 2θ = 20.3°, rel. 58
- 2θ = 23.4°, rel. 40
- 2θ = 25.2°, rel. 70
- 2θ = 25.4°, rel. 49
- 2θ = 30.5°, rel. 100
- 2θ = 35.8°, rel. 66
- 2θ = 36.2°, rel. 66
- 2θ = 36.8°, rel. 28

```
data_V3CoP4O16
_chemical_formula_sum 'V3 Co1 P4 O16'
_space_group_name_H-M_alt 'P 1 m 1'
_space_group_IT_number 6
_space_group_name_Hall 'P -2y'
_cell_length_a 4.9003
_cell_length_b 5.8679
_cell_length_c 10.0082
_cell_angle_alpha 90.00
_cell_angle_beta 90.73
_cell_angle_gamma 90.00
loop_
_atom_site_label
_atom_site_fract_x
_atom_site_fract_y
_atom_site_fract_z
V1 0.0000 0.0000 0.0000
V2 0.0823 0.5000 0.5502
V3 0.5838 0.0000 0.5105
Co1 0.4951 0.5000 0.0595
P1 0.1543 0.0000 0.6868
P2 0.4403 0.0000 0.1792
P3 0.6477 0.5000 0.3750
P4 0.9822 0.5000 0.8725
O1 0.2204 0.0000 0.8378
O2 0.2804 0.1996 0.1072
O3 0.2874 0.5000 0.8908
O4 0.3017 0.2043 0.6145
O5 0.3438 0.5000 0.4052
O6 0.4070 0.0000 0.3301
O7 0.7044 0.5000 0.2274
O8 0.7464 0.0000 0.1476
O9 0.7979 0.2952 0.4504
O10 0.8413 0.2892 0.9464
O11 0.8481 0.0000 0.6610
O12 0.8976 0.5000 0.7256
```